No. 1
Structure and simulated powder diffraction line list of MnAg2SnTe4 (a PBE-relaxed structure; CuKα).
Kinematic intensities with the Lorentz-polarization factor, no thermal factor.

Top 12 peaks for 10 to 90 degrees two-theta, in order of rising 2θ:
Position (°2θ), d (Å), I_rel
23.9, 3.725, 100
39.4, 2.285, 52
39.7, 2.272, 26
46.4, 1.956, 17
46.8, 1.940, 32
57.3, 1.607, 8
62.7, 1.482, 13
63.0, 1.475, 6
71.4, 1.322, 9
71.8, 1.314, 17
77.1, 1.237, 7
84.9, 1.143, 6

Structure:
Cell lengths 6.4272, 6.4272, 13.0009 Å; angles 90.00, 90.00, 90.00 degrees
Space group I-42m (No. 121)
Asymmetric unit:
Mn1 0.0000 0.0000 0.0000 [2 per cell]
Ag1 0.0000 0.5000 0.2500 [4 per cell]
Sn1 0.0000 0.0000 0.5000 [2 per cell]
Te1 0.2432 0.2432 0.8753 [8 per cell]



No. 2
Structure and simulated powder diffraction line list of KGaGeS4 (a PBE-relaxed structure; CuKα).
Kinematic intensities with the Lorentz-polarization factor, no thermal factor.

Top 12 peaks for 10 to 90 degrees two-theta, in order of rising 2θ:
Position (°2θ), d (Å), I_rel
13.1, 6.770, 100
14.2, 6.250, 95
14.6, 6.047, 48
21.0, 4.234, 37
22.8, 3.899, 46
24.7, 3.602, 40
25.7, 3.473, 56
26.6, 3.348, 37
27.6, 3.228, 37
30.3, 2.947, 43
30.5, 2.928, 56
45.0, 2.013, 40

Structure:
Cell lengths 6.9986, 16.2762, 7.2742 Å; angles 90.00, 111.47, 90.00 degrees
Space group P2_1 (No. 4)
Asymmetric unit:
K1 0.0208 0.0000 0.1806 [2 per cell]
K2 0.4759 0.7922 0.8209 [2 per cell]
Ga1 0.0947 0.6702 0.2817 [2 per cell]
Ga2 0.3348 0.4808 0.4747 [2 per cell]
Ge1 0.1634 0.3161 0.5279 [2 per cell]
Ge2 0.4087 0.1202 0.7292 [2 per cell]
S1 0.0906 0.3931 0.2555 [2 per cell]
S2 0.1053 0.8063 0.3783 [2 per cell]
S3 0.2278 0.5982 0.5648 [2 per cell]
S4 0.2338 0.1348 0.9293 [2 per cell]
S5 0.2742 0.1956 0.4470 [2 per cell]
S6 0.2750 0.6586 0.0732 [2 per cell]
S7 0.3880 0.9903 0.6239 [2 per cell]
S8 0.4089 0.3920 0.7461 [2 per cell]



No. 3
Structure and simulated powder diffraction line list of Al5Co2 (a PBE-relaxed structure; CuKα).
Kinematic intensities with the Lorentz-polarization factor, no thermal factor.

Top 12 peaks for 10 to 90 degrees two-theta, in order of rising 2θ:
Position (°2θ), d (Å), I_rel
13.3, 6.643, 29
23.4, 3.797, 38
26.8, 3.322, 13
29.3, 3.043, 69
42.5, 2.126, 76
43.2, 2.094, 100
45.0, 2.013, 94
47.4, 1.918, 48
47.9, 1.898, 21
51.0, 1.791, 15
75.9, 1.254, 21
76.0, 1.252, 20

Structure:
Cell lengths 7.6712, 7.6712, 7.5937 Å; angles 90.00, 90.00, 120.00 degrees
Space group P6_3/mmc (No. 194)
Asymmetric unit:
Al1 0.0000 0.0000 0.0000 [2 per cell]
Al2 0.0645 0.5323 0.2500 [6 per cell]
Al3 0.1945 0.3890 0.5598 [12 per cell]
Co1 0.1274 0.2549 0.2500 [6 per cell]
Co2 0.3333 0.6667 0.7500 [2 per cell]



No. 4
Structure and simulated powder diffraction line list of CdHg3 (a PBE-relaxed structure; CuKα).
Kinematic intensities with the Lorentz-polarization factor, no thermal factor.

Top 12 peaks for 10 to 90 degrees two-theta, in order of rising 2θ:
Position (°2θ), d (Å), I_rel
19.9, 4.461, 3
23.0, 3.863, 2
32.8, 2.732, 100
38.7, 2.330, 2
47.0, 1.932, 18
51.6, 1.773, 1
53.0, 1.728, 1
58.5, 1.577, 39
68.7, 1.366, 12
72.4, 1.306, 1
78.3, 1.222, 17
87.5, 1.115, 4

Structure:
Cell lengths 7.7262, 7.7262, 7.7262 Å; angles 90.00, 90.00, 90.00 degrees
Space group Fm-3m (No. 225)
Asymmetric unit:
Cd1 0.0000 0.0000 0.0000 [4 per cell]
Hg1 0.0000 0.0000 0.5000 [4 per cell]
Hg2 0.2500 0.2500 0.2500 [8 per cell]



No. 5
Structure and simulated powder diffraction line list of K3Th (a PBE-relaxed structure; CuKα).
Kinematic intensities with the Lorentz-polarization factor, no thermal factor.

Top 12 peaks for 10 to 90 degrees two-theta, in order of rising 2θ:
Position (°2θ), d (Å), I_rel
16.0, 5.529, 55
18.5, 4.788, 30
26.3, 3.386, 100
31.0, 2.888, 36
37.6, 2.394, 19
41.1, 2.197, 17
42.2, 2.141, 16
46.5, 1.955, 41
49.5, 1.843, 14
56.9, 1.619, 14
61.2, 1.514, 18
74.1, 1.280, 20

Structure:
Cell lengths 9.5770, 9.5770, 9.5770 Å; angles 90.00, 90.00, 90.00 degrees
Space group Fm-3m (No. 225)
Asymmetric unit:
K1 0.0000 0.0000 0.0000 [4 per cell]
K2 0.2500 0.2500 0.2500 [8 per cell]
Th1 0.0000 0.0000 0.5000 [4 per cell]



No. 6
Structure and simulated powder diffraction line list of Mg5In (a PBE-relaxed structure; CuKα).
Kinematic intensities with the Lorentz-polarization factor, no thermal factor.

Top 12 peaks for 10 to 90 degrees two-theta, in order of rising 2θ:
Position (°2θ), d (Å), I_rel
12.2, 7.259, 79
15.5, 5.716, 47
17.1, 5.200, 39
28.7, 3.106, 22
30.5, 2.932, 29
32.1, 2.785, 43
34.5, 2.600, 51
36.5, 2.462, 80
36.7, 2.448, 100
37.2, 2.420, 32
47.7, 1.907, 23
57.8, 1.596, 25

Structure:
Cell lengths 11.8433, 3.2270, 7.5210 Å; angles 90.00, 105.16, 90.00 degrees
Space group Cm (No. 8)
Asymmetric unit:
Mg1 0.0000 0.0000 0.0000 [2 per cell]
Mg2 0.0542 0.0000 0.6095 [2 per cell]
Mg3 0.1652 0.5000 0.3345 [2 per cell]
Mg4 0.3336 0.0000 0.6644 [2 per cell]
Mg5 0.3889 0.0000 0.2778 [2 per cell]
In1 0.2223 0.5000 0.9449 [2 per cell]



No. 7
Structure and simulated powder diffraction line list of TlInO2 (a PBE-relaxed structure; CuKα).
Kinematic intensities with the Lorentz-polarization factor, no thermal factor.

Top 12 peaks for 10 to 90 degrees two-theta, in order of rising 2θ:
Position (°2θ), d (Å), I_rel
13.6, 6.524, 11
27.3, 3.262, 50
31.9, 2.807, 93
35.7, 2.514, 100
48.5, 1.878, 38
54.2, 1.692, 30
56.5, 1.627, 23
61.8, 1.502, 32
64.3, 1.449, 13
66.6, 1.403, 16
82.1, 1.174, 15
89.0, 1.100, 12

Structure:
Cell lengths 3.3831, 3.3831, 19.5724 Å; angles 90.00, 90.00, 120.00 degrees
Space group R-3m (No. 166, hexagonal axes)
Asymmetric unit:
Tl1 0.0000 0.0000 0.0000 [3 per cell]
In1 0.0000 0.0000 0.5000 [3 per cell]
O1 0.0000 0.0000 0.2239 [6 per cell]